1.
For PmEr3Tm2, DFT lattice parameters and positions (GGA-PBE) gives the calculated PXRD pattern in this record (Cu Kα, 1.54184 Å).
Lines closer than 0.1° are merged.

Peak list (8 most intense, 2θ from 10° to 80°, in order of rising 2θ)
- 29.26°, rel. 37
- 31.59°, rel. 51
- 32.33°, rel. 100
- 34.05°, rel. 92
- 51.46°, rel. 26
- 55.59°, rel. 21
- 58.95°, rel. 20
- 61.66°, rel. 38

Crystal structure
```
data_PmEr3Tm2
_chemical_formula_sum 'Pm2 Er6 Tm4'
_symmetry_space_group_name_H-M 'P 1'
_symmetry_Int_Tables_number 1
_cell_length_a 7.093
_cell_length_b 7.100
_cell_length_c 8.742
_cell_angle_alpha 78.25
_cell_angle_beta 78.28
_cell_angle_gamma 60.09
loop_
_symmetry_equiv_pos_as_xyz
'x,y,z'
loop_
_atom_site_label
_atom_site_type_symbol
_atom_site_fract_x
_atom_site_fract_y
_atom_site_fract_z
_atom_site_occupancy
Pm1 Pm 0.250 0.250 0.001 1
Pm2 Pm 0.750 0.750 0.999 1
Er1 Er 0.139 0.139 0.664 1
Er2 Er 0.250 0.750 0.000 1
Er3 Er 0.361 0.860 0.336 1
Er4 Er 0.639 0.140 0.664 1
Er5 Er 0.750 0.250 0.000 1
Er6 Er 0.861 0.861 0.336 1
Tm1 Tm 0.140 0.639 0.664 1
Tm2 Tm 0.361 0.361 0.335 1
Tm3 Tm 0.639 0.639 0.665 1
Tm4 Tm 0.860 0.361 0.336 1
```



2.
For Pr4CdPd2, DFT lattice parameters and positions (GGA-PBE) gives the calculated PXRD pattern in this record (Cu Kα, 1.54184 Å).
Lines closer than 0.1° are merged.

Peak list (8 most intense, 2θ from 10° to 80°, in order of rising 2θ)
- 23.93°, rel. 16
- 25.71°, rel. 52
- 29.98°, rel. 22
- 35.73°, rel. 100
- 37.60°, rel. 59
- 52.86°, rel. 30
- 64.19°, rel. 18
- 65.43°, rel. 23

Crystal structure
```
data_Pr4CdPd2
_chemical_formula_sum 'Pr4 Cd1 Pd2'
_symmetry_space_group_name_H-M 'P 1'
_symmetry_Int_Tables_number 1
_cell_length_a 9.975
_cell_length_b 9.975
_cell_length_c 9.975
_cell_angle_alpha 29.18
_cell_angle_beta 29.18
_cell_angle_gamma 29.18
loop_
_symmetry_equiv_pos_as_xyz
'x,y,z'
loop_
_atom_site_label
_atom_site_type_symbol
_atom_site_fract_x
_atom_site_fract_y
_atom_site_fract_z
_atom_site_occupancy
Pr1 Pr 0.117 0.117 0.117 1
Pr2 Pr 0.295 0.295 0.295 1
Pr3 Pr 0.705 0.705 0.705 1
Pr4 Pr 0.883 0.883 0.883 1
Cd1 Cd 0.500 0.500 0.500 1
Pd1 Pd 0.401 0.401 0.401 1
Pd2 Pd 0.599 0.599 0.599 1
```